1.
Starting from a GGA-PBE-relaxed structure, the powder diffractogram of Pm5Pr6Dy2 was calculated for copper Kα.
Lines closer than 0.1° are merged.

Atomic structure:
abc: 11.875 21.048 3.670
angles: 90.00 90.00 90.00
Sites, in units of the cell vectors:
Pm: 0.000 0.000 0.000
Pm: 0.088 0.273 0.000
Pm: 0.197 0.555 0.000
Pm: 0.303 0.055 0.000
Pm: 0.412 0.773 0.000
Pm: 0.500 0.500 0.000
Pm: 0.588 0.227 0.000
Pm: 0.697 0.945 0.000
Pm: 0.803 0.445 0.000
Pm: 0.912 0.727 0.000
Pr: 0.062 0.419 0.500
Pr: 0.083 0.132 0.500
Pr: 0.174 0.862 0.000
Pr: 0.326 0.362 0.000
Pr: 0.417 0.632 0.500
Pr: 0.438 0.919 0.500
Pr: 0.562 0.081 0.500
Pr: 0.583 0.368 0.500
Pr: 0.674 0.638 0.000
Pr: 0.826 0.138 0.000
Pr: 0.917 0.868 0.500
Pr: 0.938 0.581 0.500
Dy: 0.169 0.710 0.500
Dy: 0.331 0.210 0.500
Dy: 0.669 0.790 0.500
Dy: 0.831 0.290 0.500

Largest 8 diffraction maxima, by angle, 2θ from 10° to 80°:
2theta, I/Imax
30.41, 494
30.66, 1000
31.36, 914
33.38, 349
35.75, 351
49.69, 182
59.38, 154
59.54, 158


2.
Starting from a GGA-PBE-relaxed structure, the powder diffractogram of CsLi2Cd2Cl7 was calculated for copper Kα.
Lines closer than 0.1° are merged.

Atomic structure:
abc: 11.224 11.224 11.224
angles: 152.48 152.48 39.31
Sites, in units of the cell vectors:
Cs: 0.000 0.000 0.000
Li: 0.250 0.750 0.500
Li: 0.750 0.250 0.500
Cd: 0.376 0.376 0.000
Cd: 0.624 0.624 0.000
Cl: 0.127 0.627 0.500
Cl: 0.254 0.254 0.000
Cl: 0.373 0.873 0.500
Cl: 0.500 0.500 0.000
Cl: 0.627 0.127 0.500
Cl: 0.746 0.746 0.000
Cl: 0.873 0.373 0.500

Largest 8 diffraction maxima, by angle, 2θ from 10° to 80°:
2theta, I/Imax
20.87, 1000
23.56, 549
26.90, 514
33.57, 878
33.92, 422
39.86, 379
48.20, 293
48.47, 572


3.
Starting from a GGA-PBE-relaxed structure, the powder diffractogram of Hf6HgPt was calculated for copper Kα.
Lines closer than 0.1° are merged.

Atomic structure:
abc: 5.468 5.468 5.468
angles: 89.96 89.96 89.96
Sites, in units of the cell vectors:
Hf: 0.001 0.746 0.500
Hf: 0.254 0.500 0.999
Hf: 0.500 0.001 0.746
Hf: 0.500 0.999 0.254
Hf: 0.746 0.500 0.001
Hf: 0.999 0.254 0.500
Hg: 0.000 0.000 0.000
Pt: 0.500 0.500 0.500

Largest 8 diffraction maxima, by angle, 2θ from 10° to 80°:
2theta, I/Imax
32.76, 381
36.75, 1000
40.41, 865
58.47, 77
61.11, 232
63.68, 461
68.66, 174
78.18, 129


4.
Starting from a GGA-PBE-relaxed structure, the powder diffractogram of LaPm5Nd2Tl was calculated for copper Kα.
Lines closer than 0.1° are merged.

Atomic structure:
abc: 10.476 10.476 10.969
angles: 90.00 90.00 148.96
Sites, in units of the cell vectors:
La: 0.205 0.795 0.500
La: 0.795 0.205 0.000
Pm: 0.013 0.987 0.500
Pm: 0.292 0.708 0.201
Pm: 0.292 0.708 0.799
Pm: 0.386 0.614 0.500
Pm: 0.500 0.500 0.250
Pm: 0.500 0.500 0.750
Pm: 0.614 0.386 0.000
Pm: 0.708 0.292 0.299
Pm: 0.708 0.292 0.701
Pm: 0.987 0.013 0.000
Nd: 0.117 0.883 0.202
Nd: 0.117 0.883 0.798
Nd: 0.883 0.117 0.298
Nd: 0.883 0.117 0.702
Tl: 0.408 0.592 0.999
Tl: 0.592 0.408 0.499

Largest 8 diffraction maxima, by angle, 2θ from 10° to 80°:
2theta, I/Imax
27.73, 103
29.50, 230
31.82, 1000
31.93, 329
32.66, 159
46.32, 121
56.83, 195
58.64, 88


5.
Starting from a GGA-PBE-relaxed structure, the powder diffractogram of AcPmF4 was calculated for copper Kα.
Lines closer than 0.1° are merged.

Atomic structure:
abc: 3.985 3.985 6.803
angles: 90.00 90.00 90.00
Sites, in units of the cell vectors:
Ac: 0.000 0.000 0.000
Pm: 0.500 0.500 0.500
F: 0.000 0.500 0.311
F: 0.000 0.500 0.689
F: 0.500 0.000 0.311
F: 0.500 0.000 0.689

Largest 8 diffraction maxima, by angle, 2θ from 10° to 80°:
2theta, I/Imax
25.91, 1000
26.20, 170
31.75, 181
41.62, 380
45.52, 161
46.05, 217
53.12, 286
66.76, 145


6.
Starting from a GGA-PBE-relaxed structure, the powder diffractogram of Tc2C was calculated for copper Kα.
Lines closer than 0.1° are merged.

Atomic structure:
abc: 2.841 2.841 14.940
angles: 90.00 90.00 120.00
Sites, in units of the cell vectors:
Tc: 0.000 0.000 0.000
Tc: 0.000 0.000 0.186
Tc: 0.333 0.667 0.667
Tc: 0.333 0.667 0.852
Tc: 0.667 0.333 0.333
Tc: 0.667 0.333 0.519
C: 0.000 0.000 0.763
C: 0.333 0.667 0.429
C: 0.667 0.333 0.096

Largest 8 diffraction maxima, by angle, 2θ from 10° to 80°:
2theta, I/Imax
36.07, 428
37.04, 1000
38.53, 185
44.08, 466
47.90, 722
57.14, 155
65.75, 293
77.35, 271